1.
The following is a theoretical X-ray diffraction stick pattern of LaEr3Ru4. It was derived from a PBE-relaxed structure, using Cu Ka.
No peak broadening, texture or thermal motion is included.

Structural model:
Lattice parameters (Å, degrees): 8.391 8.391 8.391 33.32 33.32 33.32
Positions (direct):
La  0.000  0.000  0.000
Er  0.247  0.247  0.247
Er  0.500  0.500  0.500
Er  0.753  0.753  0.753
Ru  0.126  0.126  0.126
Ru  0.376  0.376  0.376
Ru  0.624  0.624  0.624
Ru  0.874  0.874  0.874

Most intense lines, 2θ from 10° to 90°, by angle:
2θ (°)  I_rel
37.18  1000
37.38  995
53.75  344
66.91  172
67.30  347
67.43  174
79.23  106
79.72  109

***

2.
The following is a theoretical X-ray diffraction stick pattern of Nd2ErCd2. It was derived from a PBE-relaxed structure, using Cu Ka.
No peak broadening, texture or thermal motion is included.

Structural model:
Lattice parameters (Å, degrees): 3.758 5.384 14.330 90.00 97.52 90.00
Positions (direct):
Nd  0.044  0.250  0.087
Nd  0.233  0.250  0.469
Nd  0.767  0.750  0.531
Nd  0.956  0.750  0.913
Er  0.150  0.750  0.299
Er  0.850  0.250  0.701
Cd  0.362  0.750  0.723
Cd  0.441  0.250  0.883
Cd  0.559  0.750  0.117
Cd  0.638  0.250  0.277

Most intense lines, 2θ from 10° to 90°, by angle:
2θ (°)  I_rel
31.49  212
33.07  1000
33.28  270
46.47  143
48.44  93
57.07  91
59.33  183
60.04  97

***

3.
The following is a theoretical X-ray diffraction stick pattern of Nd6TmHg2. It was derived from a PBE-relaxed structure, using Cu Ka.
No peak broadening, texture or thermal motion is included.

Structural model:
Lattice parameters (Å, degrees): 6.753 6.753 12.214 108.03 108.03 32.56
Positions (direct):
Nd  0.023  0.023  0.336
Nd  0.309  0.309  0.408
Nd  0.314  0.314  0.123
Nd  0.686  0.686  0.877
Nd  0.691  0.691  0.592
Nd  0.977  0.977  0.664
Tm  0.000  0.000  0.000
Hg  0.365  0.365  0.811
Hg  0.635  0.635  0.189

Most intense lines, 2θ from 10° to 90°, by angle:
2θ (°)  I_rel
30.86  315
31.13  192
32.25  1000
44.50  78
48.06  98
55.82  83
58.22  114
79.50  83

***

4.
The following is a theoretical X-ray diffraction stick pattern of Cu8As. It was derived from a PBE-relaxed structure, using Cu Ka.
No peak broadening, texture or thermal motion is included.

Structural model:
Lattice parameters (Å, degrees): 5.807 5.807 5.807 95.83 95.83 142.82
Positions (direct):
Cu  0.000  0.337  0.337
Cu  0.000  0.663  0.663
Cu  0.331  0.331  0.661
Cu  0.331  0.669  0.000
Cu  0.337  0.000  0.337
Cu  0.663  0.000  0.663
Cu  0.669  0.331  0.000
Cu  0.669  0.669  0.339
As  0.000  0.000  0.000

Most intense lines, 2θ from 10° to 90°, by angle:
2θ (°)  I_rel
42.54  1000
49.21  160
49.69  309
72.53  183
72.91  89
87.52  109
88.25  213

***

5.
The following is a theoretical X-ray diffraction stick pattern of Nd2Pu. It was derived from a PBE-relaxed structure, using Cu Ka.
No peak broadening, texture or thermal motion is included.

Structural model:
Lattice parameters (Å, degrees): 8.052 8.052 8.052 154.31 154.31 36.65
Positions (direct):
Nd  0.163  0.163  0.000
Nd  0.837  0.837  0.000
Pu  0.500  0.500  0.000

Most intense lines, 2θ from 10° to 90°, by angle:
2θ (°)  I_rel
30.52  1000
35.22  170
35.46  338
50.85  243
51.02  122
60.31  144
60.63  290
63.52  125

***

6.
The following is a theoretical X-ray diffraction stick pattern of Pm5Cd2Os2. It was derived from a PBE-relaxed structure, using Cu Ka.
No peak broadening, texture or thermal motion is included.

Structural model:
Lattice parameters (Å, degrees): 9.148 9.148 7.815 90.00 90.00 49.40
Positions (direct):
Pm  0.000  0.000  0.000
Pm  0.063  0.696  0.684
Pm  0.196  0.563  0.184
Pm  0.304  0.937  0.684
Pm  0.437  0.804  0.184
Pm  0.500  0.500  0.500
Pm  0.563  0.196  0.816
Pm  0.696  0.063  0.316
Pm  0.804  0.437  0.816
Pm  0.937  0.304  0.316
Cd  0.223  0.223  0.000
Cd  0.277  0.277  0.500
Cd  0.723  0.723  0.500
Cd  0.777  0.777  0.000
Os  0.112  0.888  0.383
Os  0.388  0.612  0.883
Os  0.612  0.388  0.117
Os  0.888  0.112  0.617

Most intense lines, 2θ from 10° to 90°, by angle:
2θ (°)  I_rel
10.65  1000
30.33  779
31.43  946
31.81  850
32.77  552
33.87  987
36.85  508
37.41  570

***

7.
The following is a theoretical X-ray diffraction stick pattern of Tl3In5Hg6. It was derived from a PBE-relaxed structure, using Cu Ka.
No peak broadening, texture or thermal motion is included.

Structural model:
Lattice parameters (Å, degrees): 5.671 10.401 14.681 90.00 112.68 90.00
Positions (direct):
Tl  0.000  0.229  0.250
Tl  0.000  0.771  0.750
Tl  0.279  0.253  0.529
Tl  0.279  0.747  0.029
Tl  0.721  0.253  0.971
Tl  0.721  0.747  0.471
In  0.000  0.230  0.750
In  0.000  0.770  0.250
In  0.122  0.488  0.872
In  0.122  0.512  0.372
In  0.379  0.109  0.129
In  0.379  0.891  0.629
In  0.621  0.109  0.371
In  0.621  0.891  0.871
In  0.878  0.488  0.628
In  0.878  0.512  0.128
Hg  0.162  0.030  0.912
Hg  0.162  0.970  0.412
Hg  0.326  0.385  0.076
Hg  0.326  0.615  0.576
Hg  0.500  0.133  0.750
Hg  0.500  0.433  0.750
Hg  0.500  0.567  0.250
Hg  0.500  0.867  0.250
Hg  0.674  0.385  0.424
Hg  0.674  0.615  0.924
Hg  0.838  0.030  0.588
Hg  0.838  0.970  0.088

Most intense lines, 2θ from 10° to 90°, by angle:
2θ (°)  I_rel
30.21  270
30.59  644
31.55  1000
31.96  412
33.05  357
37.80  186
38.67  344
45.21  196

***

8.
The following is a theoretical X-ray diffraction stick pattern of PaSiNi6. It was derived from a PBE-relaxed structure, using Cu Ka.
No peak broadening, texture or thermal motion is included.

Structural model:
Lattice parameters (Å, degrees): 3.618 3.618 8.349 90.00 90.00 90.00
Positions (direct):
Pa  0.000  0.000  0.000
Si  0.000  0.000  0.500
Ni  0.000  0.500  0.333
Ni  0.000  0.500  0.667
Ni  0.500  0.000  0.333
Ni  0.500  0.000  0.667
Ni  0.500  0.500  0.139
Ni  0.500  0.500  0.861

Most intense lines, 2θ from 10° to 90°, by angle:
2θ (°)  I_rel
10.60  550
32.75  621
36.74  1000
40.91  426
41.39  555
50.46  823
74.13  360
88.66  283

***

9.
The following is a theoretical X-ray diffraction stick pattern of Cs2TmGaSe4. It was derived from a PBE-relaxed structure, using Cu Ka.
No peak broadening, texture or thermal motion is included.

Structural model:
Lattice parameters (Å, degrees): 15.327 13.704 8.202 84.86 62.94 32.21
Positions (direct):
Cs  0.054  0.054  0.696
Cs  0.304  0.304  0.946
Cs  0.696  0.696  0.054
Cs  0.946  0.946  0.304
Tm  0.125  0.125  0.125
Tm  0.875  0.875  0.875
Ga  0.375  0.375  0.375
Ga  0.625  0.625  0.625
Se  0.002  0.644  0.555
Se  0.299  0.555  0.644
Se  0.356  0.998  0.701
Se  0.445  0.701  0.998
Se  0.555  0.299  0.002
Se  0.644  0.002  0.299
Se  0.701  0.445  0.356
Se  0.998  0.356  0.445

Most intense lines, 2θ from 10° to 90°, by angle:
2θ (°)  I_rel
13.28  577
13.46  424
22.77  461
23.22  804
24.67  634
28.12  1000
34.73  541
45.97  413

***

10.
The following is a theoretical X-ray diffraction stick pattern of ZrSc5Hg3. It was derived from a PBE-relaxed structure, using Cu Ka.
No peak broadening, texture or thermal motion is included.

Structural model:
Lattice parameters (Å, degrees): 8.586 8.586 6.289 90.00 90.00 120.00
Positions (direct):
Zr  0.000  0.000  0.000
Zr  0.000  0.000  0.500
Sc  0.000  0.322  0.250
Sc  0.000  0.678  0.750
Sc  0.322  0.000  0.250
Sc  0.322  0.322  0.750
Sc  0.333  0.667  0.000
Sc  0.333  0.667  0.500
Sc  0.667  0.333  0.000
Sc  0.667  0.333  0.500
Sc  0.678  0.000  0.750
Sc  0.678  0.678  0.250
Hg  0.000  0.344  0.750
Hg  0.000  0.656  0.250
Hg  0.344  0.000  0.750
Hg  0.344  0.344  0.250
Hg  0.656  0.000  0.250
Hg  0.656  0.656  0.750

Most intense lines, 2θ from 10° to 90°, by angle:
2θ (°)  I_rel
25.12  975
35.38  781
36.24  1000
46.66  356
51.55  255
58.76  279
64.64  250
71.00  273

***

11.
The following is a theoretical X-ray diffraction stick pattern of La7NdY2. It was derived from a PBE-relaxed structure, using Cu Ka.
No peak broadening, texture or thermal motion is included.

Structural model:
Lattice parameters (Å, degrees): 15.202 15.202 3.535 90.00 90.00 153.97
Positions (direct):
La  0.000  0.000  0.000
La  0.156  0.357  0.000
La  0.308  0.692  0.500
La  0.357  0.156  0.000
La  0.643  0.844  0.000
La  0.692  0.308  0.500
La  0.844  0.643  0.000
Nd  0.500  0.500  0.500
Y  0.205  0.795  0.000
Y  0.795  0.205  0.000

Most intense lines, 2θ from 10° to 90°, by angle:
2θ (°)  I_rel
28.58  417
28.73  841
30.17  832
31.12  329
31.81  749
32.26  1000
62.69  286
85.50  277

***

12.
The following is a theoretical X-ray diffraction stick pattern of Ba19Ag4Pd6. It was derived from a PBE-relaxed structure, using Cu Ka.
No peak broadening, texture or thermal motion is included.

Structural model:
Lattice parameters (Å, degrees): 12.230 12.230 12.230 109.47 109.47 109.47
Positions (direct):
Ba  0.000  0.000  0.000
Ba  0.000  0.341  0.341
Ba  0.000  0.659  0.659
Ba  0.028  0.773  0.374
Ba  0.227  0.255  0.601
Ba  0.255  0.601  0.227
Ba  0.341  0.000  0.341
Ba  0.341  0.341  0.000
Ba  0.346  0.745  0.972
Ba  0.374  0.028  0.773
Ba  0.399  0.654  0.626
Ba  0.601  0.227  0.255
Ba  0.626  0.399  0.654
Ba  0.654  0.626  0.399
Ba  0.659  0.000  0.659
Ba  0.659  0.659  0.000
Ba  0.745  0.972  0.346
Ba  0.773  0.374  0.028
Ba  0.972  0.346  0.745
Ag  0.000  0.000  0.275
Ag  0.000  0.275  0.000
Ag  0.275  0.000  0.000
Ag  0.725  0.725  0.725
Pd  0.166  0.500  0.666
Pd  0.334  0.834  0.500
Pd  0.500  0.334  0.834
Pd  0.500  0.666  0.166
Pd  0.666  0.166  0.500
Pd  0.834  0.500  0.334

Most intense lines, 2θ from 10° to 90°, by angle:
2θ (°)  I_rel
15.37  241
19.88  212
26.78  1000
29.67  207
32.32  340
34.79  236
38.24  237
40.39  196